1.
Simulated powder diffractogram
Compound: CaThBr6
Radiation: Cu Kα (λ = 1.5418 Å)
Structure: a DFT-relaxed cell (PBE, Alexandria)
Kinematic intensities with the Lorentz-polarization factor, no thermal factor.

Structure:
Lattice parameters (Å, degrees): 7.2558 7.2558 19.9151 90.00 90.00 120.00
Space group R-3 (No. 148, hexagonal axes)
Symmetry-distinct sites (fractional):
Ca (0.0000, 0.0000, 0.0000) [3 per cell]
Th (0.0000, 0.0000, 0.5000) [3 per cell]
Br (0.0072, 0.3502, 0.2494) [18 per cell]

Peak list (12 most intense, 15 to 90 degrees two-theta, low angle first)
two_theta  I (rel.)
16.7  67.6
22.8  22.8
28.0  100.0
33.7  14.3
36.7  59.8
39.0  18.8
43.2  40.2
48.2  22.5
52.3  16.6
53.3  14.3
57.9  15.3
72.7  17.0

***

2.
Simulated powder diffractogram
Compound: CaThBr6
Radiation: Cu Kα (λ = 1.5418 Å)
Structure: a DFT-relaxed cell (PBE, Alexandria)
Kinematic intensities with the Lorentz-polarization factor, no thermal factor.

Structure:
Lattice parameters (Å, degrees): 9.212 4.185 13.961 90.00 90.00 90.00
Space group Pmma (No. 51)
Symmetry-distinct sites (fractional):
Ca (0.250, 0.000, 0.226) [2 per cell]
Th (0.250, 0.500, 0.752) [2 per cell]
Br (0.053, 0.500, 0.334) [4 per cell]
Br (0.074, 0.000, 0.855) [4 per cell]
Br (0.250, 0.000, 0.605) [2 per cell]
Br (0.250, 0.500, 0.087) [2 per cell]

Peak list (12 most intense, 15 to 90 degrees two-theta, low angle first)
two_theta  I (rel.)
28.7  24.3
29.5  35.4
30.3  100.0
31.8  42.1
34.8  22.5
36.9  51.7
40.0  29.0
41.3  31.5
43.2  26.7
43.6  33.8
54.7  18.4
63.1  20.5

***

3.
Simulated powder diffractogram
Compound: CaTlBr2
Radiation: Cu Kα (λ = 1.5418 Å)
Structure: a DFT-relaxed cell (PBE, Alexandria)
Kinematic intensities with the Lorentz-polarization factor, no thermal factor.

Structure:
Lattice parameters (Å, degrees): 4.0760 4.0760 32.2238 90.00 90.00 120.00
Space group R-3m (No. 166, hexagonal axes)
Symmetry-distinct sites (fractional):
Ca (0.0000, 0.0000, 0.0000) [3 per cell]
Tl (0.0000, 0.0000, 0.5000) [3 per cell]
Br (0.0000, 0.0000, 0.2813) [6 per cell]

Peak list (12 most intense, 15 to 90 degrees two-theta, low angle first)
two_theta  I (rel.)
16.5  28.1
24.9  33.9
25.4  33.5
27.6  100.0
28.8  59.7
33.8  26.7
37.8  31.4
44.5  34.9
47.1  27.7
51.6  28.2
53.1  16.0
69.9  16.8